This entry pairs a crystal structure of DyIn4Rh5 with its theoretical powder diffractogram. Radiation: CuKα. Structure: a structure optimized by DFT (GGA-PBE).
Intensities are scaled so that the largest is 1000.

Atomic structure:
```
DyIn4Rh5
1.0
3.3123 0.0000 0.0000
0.0000 3.3123 0.0000
0.0000 0.0000 15.9871
Dy In Rh
1 4 5
direct
0.0000 0.0000 0.0000
0.0000 0.0000 0.2048
0.0000 0.0000 0.4016
0.0000 0.0000 0.5984
0.0000 0.0000 0.7952
0.5000 0.5000 0.1079
0.5000 0.5000 0.3037
0.5000 0.5000 0.5000
0.5000 0.5000 0.6963
0.5000 0.5000 0.8921
```

The 10 most intense peaks (2θ = 10–80°), in order of falling intensity:
2θ (°), d_spacing, I_rel
39.16, 2.300, 1000
38.44, 2.342, 537
70.00, 1.344, 348
55.48, 1.656, 181
71.44, 1.320, 155
57.66, 1.599, 74
35.19, 2.550, 14
26.92, 3.312, 10
31.81, 2.813, 7
66.01, 1.415, 6


This entry pairs a crystal structure of Dy5In2Rh with its theoretical powder diffractogram. Radiation: CuKα. Structure: a structure optimized by DFT (GGA-PBE).
Intensities are scaled so that the largest is 1000.

Atomic structure:
```
Dy5In2Rh
1.0
7.2188 0.0000 0.0000
0.0000 12.3896 0.0000
0.0000 0.0000 4.8227
Dy In Rh
10 4 2
direct
0.0000 0.0000 0.0000
0.1261 0.2899 0.0000
0.1783 0.5816 0.5000
0.3217 0.0816 0.5000
0.3739 0.7899 0.0000
0.5000 0.5000 0.0000
0.6261 0.2101 0.0000
0.6783 0.9184 0.5000
0.8217 0.4184 0.5000
0.8739 0.7101 0.0000
0.0958 0.8379 0.5000
0.4042 0.3379 0.5000
0.5958 0.6621 0.5000
0.9042 0.1621 0.5000
0.0000 0.5000 0.0000
0.5000 0.0000 0.0000
```

The 10 most intense peaks (2θ = 10–80°), in order of falling intensity:
2θ (°), d_spacing, I_rel
31.80, 2.814, 1000
34.41, 2.606, 556
37.29, 2.411, 552
31.09, 2.877, 453
31.43, 2.846, 413
34.24, 2.619, 361
32.96, 2.718, 300
26.48, 3.366, 234
49.54, 1.840, 232
30.95, 2.890, 198


This entry pairs a crystal structure of DyTm2InRh4 with its theoretical powder diffractogram. Radiation: CuKα. Structure: a structure optimized by DFT (GGA-PBE).
Intensities are scaled so that the largest is 1000.

Atomic structure:
```
DyTm2InRh4
1.0
2.3726 1.3698 7.7083
-2.3726 1.3698 7.7083
0.0000 -2.7396 7.7083
Dy Tm In Rh
1 2 1 4
direct
0.0000 0.0000 0.0000
0.2452 0.2452 0.2452
0.7548 0.7548 0.7548
0.5000 0.5000 0.5000
0.1240 0.1240 0.1240
0.3759 0.3759 0.3759
0.6241 0.6241 0.6241
0.8760 0.8760 0.8760
```

The 10 most intense peaks (2θ = 10–80°), in order of falling intensity:
2θ (°), d_spacing, I_rel
37.92, 2.373, 1000
38.06, 2.364, 970
68.56, 1.369, 512
54.82, 1.675, 335
68.86, 1.363, 157
26.61, 3.349, 79
46.93, 1.936, 19
61.85, 1.500, 17
29.07, 3.072, 16
52.50, 1.743, 14


This entry pairs a crystal structure of Dy5InRu3 with its theoretical powder diffractogram. Radiation: CuKα. Structure: a structure optimized by DFT (GGA-PBE).
Intensities are scaled so that the largest is 1000.

Atomic structure:
```
Dy5InRu3
1.0
6.0617 -4.4571 0.0000
6.0617 4.4571 0.0000
-3.6444 0.0000 9.1377
Dy In Ru
10 2 6
direct
0.0452 0.0452 0.3539
0.1325 0.5205 0.3486
0.2035 0.7965 0.0000
0.2644 0.2644 0.9544
0.4795 0.8675 0.6514
0.5205 0.1325 0.3486
0.7356 0.7356 0.0456
0.7965 0.2035 0.0000
0.8675 0.4795 0.6514
0.9548 0.9548 0.6461
0.4191 0.4191 0.7104
0.5809 0.5809 0.2896
0.1627 0.1627 0.1649
0.1810 0.1810 0.6480
0.5000 0.5000 0.0000
0.5000 0.5000 0.5000
0.8190 0.8190 0.3520
0.8373 0.8373 0.8351
```

The 10 most intense peaks (2θ = 10–80°), in order of falling intensity:
2θ (°), d_spacing, I_rel
29.37, 3.041, 1000
31.79, 2.815, 517
19.96, 4.449, 445
38.60, 2.332, 318
48.51, 1.877, 312
29.54, 3.024, 306
48.72, 1.869, 275
43.56, 2.078, 240
28.36, 3.147, 183
40.48, 2.229, 162


This entry pairs a crystal structure of Dy4InS2 with its theoretical powder diffractogram. Radiation: CuKα. Structure: a structure optimized by DFT (GGA-PBE).
Intensities are scaled so that the largest is 1000.

Atomic structure:
```
Dy4InS2
1.0
1.9720 -6.5731 0.0000
1.9720 6.5731 0.0000
0.0000 0.0000 13.5401
Dy In S
8 2 4
direct
0.0000 0.0000 0.0000
0.0000 0.0000 0.5000
0.2658 0.7342 0.6153
0.2658 0.7342 0.8847
0.4257 0.5743 0.2500
0.5743 0.4257 0.7500
0.7342 0.2658 0.1153
0.7342 0.2658 0.3847
0.1073 0.8927 0.2500
0.8927 0.1073 0.7500
0.3661 0.6339 0.0582
0.3661 0.6339 0.4418
0.6339 0.3661 0.5582
0.6339 0.3661 0.9418
```

The 10 most intense peaks (2θ = 10–80°), in order of falling intensity:
2θ (°), d_spacing, I_rel
31.22, 2.865, 1000
29.69, 3.009, 845
30.87, 2.897, 588
46.06, 1.971, 541
33.31, 2.690, 308
55.73, 1.649, 290
41.01, 2.201, 237
57.04, 1.615, 220
30.23, 2.957, 211
27.03, 3.299, 188


This entry pairs a crystal structure of Dy7In2Sb2 with its theoretical powder diffractogram. Radiation: CuKα. Structure: a structure optimized by DFT (GGA-PBE).
Intensities are scaled so that the largest is 1000.

Atomic structure:
```
Dy7In2Sb2
1.0
4.1729 -5.5016 0.0000
4.1729 5.5016 0.0000
0.0000 0.0000 7.4910
Dy In Sb
7 2 2
direct
0.0000 0.0000 0.0000
0.0000 0.5000 0.2803
0.0000 0.5000 0.7197
0.5000 0.0000 0.2803
0.5000 0.0000 0.7197
0.5000 0.5000 0.2687
0.5000 0.5000 0.7313
0.1750 0.1750 0.5000
0.8250 0.8250 0.5000
0.2835 0.7165 0.0000
0.7165 0.2835 0.0000
```

The 10 most intense peaks (2θ = 10–80°), in order of falling intensity:
2θ (°), d_spacing, I_rel
36.12, 2.486, 1000
32.55, 2.751, 623
26.82, 3.325, 516
35.93, 2.500, 514
27.33, 3.263, 474
24.42, 3.645, 441
43.37, 2.086, 205
42.53, 2.126, 187
55.26, 1.662, 177
48.62, 1.873, 169


This entry pairs a crystal structure of DySc3In2 with its theoretical powder diffractogram. Radiation: CuKα. Structure: a structure optimized by DFT (GGA-PBE).
Intensities are scaled so that the largest is 1000.

Atomic structure:
```
DySc3In2
1.0
8.5166 0.0000 0.0000
0.0000 3.2925 0.0000
0.0000 0.0000 21.2349
Dy Sc In
4 12 8
direct
0.1562 0.2500 0.1622
0.3438 0.7500 0.6622
0.6562 0.2500 0.3378
0.8438 0.7500 0.8378
0.0456 0.2500 0.4224
0.1081 0.2500 0.9348
0.2147 0.7500 0.8081
0.2853 0.2500 0.3081
0.3919 0.7500 0.4348
0.4544 0.7500 0.9224
0.5456 0.2500 0.0776
0.6081 0.2500 0.5652
0.7147 0.7500 0.6919
0.7853 0.2500 0.1919
0.8919 0.7500 0.0652
0.9544 0.7500 0.5776
0.0214 0.2500 0.7106
0.2455 0.2500 0.5397
0.2545 0.7500 0.0397
0.4786 0.7500 0.2106
0.5214 0.2500 0.7894
0.7455 0.2500 0.9603
0.7545 0.7500 0.4603
0.9786 0.7500 0.2894
```

The 10 most intense peaks (2θ = 10–80°), in order of falling intensity:
2θ (°), d_spacing, I_rel
33.73, 2.657, 1000
34.45, 2.603, 925
13.33, 6.643, 792
31.77, 2.816, 548
36.77, 2.444, 411
34.03, 2.635, 384
35.87, 2.503, 379
35.42, 2.534, 328
34.70, 2.585, 283
29.71, 3.007, 257